(1)
The following is a simulated PXRD pattern of Sm2Ga9Co3. It was derived from the PBE geometry in OQMD, using λ = 1.5418 Å (Cu Kα).
Peak positions follow from Bragg's law for the DFT cell and can differ from measured ones.

Crystal structure
```
Sm2Ga9Co3
1.0
6.3972 -3.7136 0.0000
6.3972 3.7136 0.0000
0.0000 0.0000 9.5170
Sm Ga Co
4 18 6
direct
0.0034 0.6684 0.7500
0.3316 0.9966 0.7500
0.6684 0.0034 0.2500
0.9966 0.3316 0.2500
0.0019 0.6659 0.0706
0.0019 0.6659 0.4294
0.1238 0.8762 0.2500
0.3341 0.9981 0.0706
0.3341 0.9981 0.4294
0.3350 0.6650 0.5556
0.3350 0.6650 0.9444
0.3362 0.4521 0.2500
0.4521 0.3362 0.7500
0.5479 0.6638 0.2500
0.6638 0.5479 0.7500
0.6650 0.3350 0.0556
0.6650 0.3350 0.4444
0.6659 0.0019 0.5706
0.6659 0.0019 0.9294
0.8762 0.1238 0.7500
0.9981 0.3341 0.5706
0.9981 0.3341 0.9294
0.0000 0.0000 0.0000
0.0000 0.0000 0.5000
0.3297 0.3297 0.0000
0.3297 0.3297 0.5000
0.6703 0.6703 0.0000
0.6703 0.6703 0.5000
```

Top 12 peaks for 2θ from 10° to 90°, low angle first:
- 25.82 deg, rel. 113
- 33.74 deg, rel. 92
- 37.32 deg, rel. 1000
- 37.81 deg, rel. 175
- 38.33 deg, rel. 142
- 42.21 deg, rel. 460
- 42.39 deg, rel. 226
- 47.17 deg, rel. 105
- 57.70 deg, rel. 100
- 73.87 deg, rel. 107
- 74.00 deg, rel. 107
- 74.22 deg, rel. 120

(2)
The following is a simulated PXRD pattern of Si2Ni3. It was derived from the PBE geometry in OQMD, using λ = 1.5418 Å (Cu Kα).
Peak positions follow from Bragg's law for the DFT cell and can differ from measured ones.

Crystal structure
```
Si2Ni3
1.0
6.1017 -5.3946 0.0000
6.1017 5.3946 0.0000
0.0000 0.0000 6.9076
Si Ni
16 24
direct
0.0063 0.6894 0.2093
0.0064 0.6911 0.7927
0.0925 0.9075 0.5000
0.3089 0.9936 0.7927
0.3106 0.9937 0.2093
0.3240 0.4381 0.5017
0.3439 0.6561 0.0015
0.4381 0.3240 0.0017
0.5619 0.6760 0.5017
0.6561 0.3439 0.5015
0.6760 0.5619 0.0017
0.6894 0.0063 0.7093
0.6911 0.0064 0.2927
0.9075 0.0925 0.0000
0.9936 0.3089 0.2927
0.9937 0.3106 0.7093
0.0561 0.5503 0.5018
0.1168 0.8832 0.0033
0.1766 0.1852 0.0013
0.1852 0.1766 0.5013
0.2091 0.4456 0.1912
0.2089 0.4468 0.8127
0.2653 0.7347 0.6892
0.2659 0.7341 0.3131
0.4456 0.2091 0.6912
0.4468 0.2089 0.3127
0.4497 0.9439 0.5018
0.5000 0.5000 0.2517
0.5000 0.5000 0.7517
0.5503 0.0561 0.0018
0.5532 0.7911 0.8127
0.5544 0.7909 0.1912
0.7341 0.2659 0.8131
0.7347 0.2653 0.1892
0.7911 0.5532 0.3127
0.7909 0.5544 0.6912
0.8148 0.8234 0.0013
0.8234 0.8148 0.5013
0.8832 0.1168 0.5033
0.9439 0.4497 0.0018
```

Top 12 peaks for 2θ from 10° to 90°, low angle first:
- 10.95 deg, rel. 194
- 28.10 deg, rel. 378
- 33.25 deg, rel. 166
- 44.57 deg, rel. 743
- 45.17 deg, rel. 1000
- 46.07 deg, rel. 799
- 46.32 deg, rel. 388
- 46.87 deg, rel. 238
- 47.71 deg, rel. 447
- 52.46 deg, rel. 289
- 53.03 deg, rel. 158
- 76.93 deg, rel. 210

(3)
The following is a simulated PXRD pattern of ErNiGe3. It was derived from the PBE geometry in OQMD, using λ = 1.5418 Å (Cu Kα).
Peak positions follow from Bragg's law for the DFT cell and can differ from measured ones.

Crystal structure
```
ErNiGe3
1.0
2.0395 -10.8528 0.0000
2.0395 10.8528 0.0000
0.0000 0.0000 4.0635
Er Ni Ge
2 2 6
direct
0.1688 0.8312 0.0000
0.8312 0.1688 0.0000
0.3886 0.6114 0.5000
0.6114 0.3886 0.5000
0.0574 0.9426 0.5000
0.2833 0.7167 0.5000
0.4428 0.5572 0.0000
0.5572 0.4428 0.0000
0.7167 0.2833 0.5000
0.9426 0.0574 0.5000
```

Top 12 peaks for 2θ from 10° to 90°, low angle first:
- 33.01 deg, rel. 106
- 33.16 deg, rel. 254
- 33.50 deg, rel. 1000
- 37.49 deg, rel. 128
- 43.60 deg, rel. 221
- 44.42 deg, rel. 241
- 44.60 deg, rel. 238
- 56.51 deg, rel. 156
- 56.57 deg, rel. 103
- 64.14 deg, rel. 137
- 64.77 deg, rel. 153
- 74.80 deg, rel. 119

Question: What is the formula in the third record?
Answer: ErNiGe3